[1]
The following is a computed X-ray powder pattern of Li3Fe8B8O24. It was derived from a cell relaxed with PBE+U, using Cu Kα (λ = 1.5418 Å).
Kinematic intensities with the Lorentz-polarization factor, no thermal factor.

Top 10 peaks for 10 to 80 degrees two-theta, low angle first:
d = 4.605 Å, 19.27 deg, intensity 49.6
d = 4.510 Å, 19.68 deg, intensity 89.1
d = 4.159 Å, 21.36 deg, intensity 99.1
d = 4.133 Å, 21.50 deg, intensity 38.8
d = 3.443 Å, 25.88 deg, intensity 31.0
d = 3.421 Å, 26.04 deg, intensity 42.9
d = 3.361 Å, 26.52 deg, intensity 32.4
d = 2.678 Å, 33.46 deg, intensity 33.1
d = 2.622 Å, 34.20 deg, intensity 72.3
d = 2.520 Å, 35.62 deg, intensity 100.0

Structural model:
```
Li3Fe8B8O24
1.0
5.2504 0.0000 0.0000
0.2324 9.2032 0.0000
0.2017 0.1361 10.0818
Li Fe B O
3 8 8 24
Direct
0.0000 0.0000 0.0000 Li
0.0013 0.9963 0.5067 Li
0.5046 0.4955 0.4896 Li
0.0021 0.3397 0.9632 Fe
0.3418 0.6763 0.7142 Fe
0.3524 0.0052 0.2242 Fe
0.4969 0.1727 0.4680 Fe
0.5108 0.8292 0.9632 Fe
0.8507 0.5077 0.2228 Fe
0.8590 0.1736 0.7164 Fe
0.9884 0.6732 0.4664 Fe
0.0091 0.3358 0.4633 B
0.0179 0.6729 0.9699 B
0.3372 0.6736 0.2177 B
0.3523 0.9995 0.7132 B
0.5027 0.8395 0.4657 B
0.5082 0.1655 0.9662 B
0.8410 0.1736 0.2074 B
0.8413 0.5080 0.7178 B
0.0019 0.6171 0.6746 O
0.0048 0.0552 0.1989 O
0.0841 0.6634 0.2557 O
0.0946 0.0031 0.7026 O
0.2658 0.3468 0.4676 O
0.2695 0.6736 0.9218 O
0.3483 0.9574 0.4191 O
0.3515 0.2830 0.9561 O
0.3717 0.7173 0.5127 O
0.4038 0.0300 0.0067 O
0.4184 0.8069 0.1619 O
0.4692 0.8681 0.7660 O
0.5040 0.5609 0.2352 O
0.5071 0.1077 0.6699 O
0.5836 0.5224 0.6961 O
0.5924 0.1570 0.2518 O
0.7591 0.8477 0.4657 O
0.7714 0.1660 0.9410 O
0.8597 0.4597 0.4224 O
0.8730 0.7999 0.9708 O
0.8843 0.2095 0.4982 O
0.9201 0.5426 0.0167 O
0.9241 0.3096 0.1655 O
0.9413 0.3818 0.7734 O
```

=====

[2]
The following is a computed X-ray powder pattern of Ho2WO6. It was derived from a cell relaxed with PBE+U, using Cu Kα (λ = 1.5418 Å).
Kinematic intensities with the Lorentz-polarization factor, no thermal factor.

Top 10 peaks for 10 to 80 degrees two-theta, low angle first:
d = 3.137 Å, 28.45 deg, intensity 100.0
d = 3.062 Å, 29.16 deg, intensity 86.5
d = 2.769 Å, 32.33 deg, intensity 22.5
d = 2.692 Å, 33.28 deg, intensity 22.0
d = 2.598 Å, 34.52 deg, intensity 20.4
d = 1.930 Å, 47.08 deg, intensity 24.3
d = 1.903 Å, 47.79 deg, intensity 15.7
d = 1.895 Å, 48.02 deg, intensity 24.1
d = 1.638 Å, 56.14 deg, intensity 14.6
d = 1.595 Å, 57.79 deg, intensity 12.6

Structural model:
```
Ho2WO6
1.0
8.1618 -5.5382 0.0000
8.1618 5.5382 0.0000
-1.5979 0.0000 5.1450
Ho W O
8 4 24
Direct
0.0559 0.2847 0.8826 Ho
0.1051 0.8949 0.7500 Ho
0.2847 0.0559 0.3826 Ho
0.3658 0.6342 0.2500 Ho
0.6342 0.3658 0.7500 Ho
0.7153 0.9441 0.6174 Ho
0.8949 0.1051 0.2500 Ho
0.9441 0.7153 0.1174 Ho
0.1992 0.4945 0.5664 W
0.4945 0.1992 0.0664 W
0.5055 0.8008 0.9336 W
0.8008 0.5055 0.4336 W
0.0603 0.4734 0.2601 O
0.0750 0.1077 0.0783 O
0.1077 0.0750 0.5783 O
0.1595 0.6886 0.4212 O
0.1757 0.6207 0.8865 O
0.2162 0.3154 0.6489 O
0.3114 0.8405 0.0788 O
0.3154 0.2162 0.1489 O
0.3793 0.8243 0.6135 O
0.3898 0.4555 0.5201 O
0.4555 0.3898 0.0201 O
0.4734 0.0603 0.7601 O
0.5266 0.9397 0.2399 O
0.5445 0.6102 0.9799 O
0.6102 0.5445 0.4799 O
0.6207 0.1757 0.3865 O
0.6846 0.7838 0.8511 O
0.6886 0.1595 0.9212 O
0.7838 0.6846 0.3511 O
0.8243 0.3793 0.1135 O
0.8405 0.3114 0.5788 O
0.8923 0.9250 0.4217 O
0.9250 0.8923 0.9217 O
0.9397 0.5266 0.7399 O
```

=====

[3]
The following is a computed X-ray powder pattern of MgMn6O8F4. It was derived from a cell relaxed with PBE+U, using Cu Kα (λ = 1.5418 Å).
Kinematic intensities with the Lorentz-polarization factor, no thermal factor.

Top 10 peaks for 10 to 80 degrees two-theta, low angle first:
d = 3.912 Å, 22.73 deg, intensity 100.0
d = 3.198 Å, 27.90 deg, intensity 70.7
d = 2.583 Å, 34.74 deg, intensity 48.3
d = 2.563 Å, 35.01 deg, intensity 19.5
d = 2.547 Å, 35.24 deg, intensity 15.6
d = 1.956 Å, 46.43 deg, intensity 16.4
d = 1.859 Å, 48.99 deg, intensity 16.7
d = 1.709 Å, 53.62 deg, intensity 17.5
d = 1.690 Å, 54.30 deg, intensity 14.8
d = 1.502 Å, 61.76 deg, intensity 19.7

Structural model:
```
MgMn6O8F4
1.0
5.7750 0.0000 0.0000
-2.4147 5.4476 0.0000
-1.1454 -2.8900 7.1735
Mg Mn O F
1 6 8 4
Direct
0.0000 0.0000 0.0000 Mg
0.0049 0.0136 0.5046 Mn
0.0208 0.5138 0.0132 Mn
0.3445 0.5282 0.3605 Mn
0.3894 0.9808 0.8198 Mn
0.6523 0.0316 0.1983 Mn
0.6987 0.4566 0.6389 Mn
0.0547 0.7044 0.8394 O
0.3214 0.3204 0.5170 O
0.3712 0.7077 0.1865 O
0.6028 0.8702 0.9314 O
0.6715 0.2997 0.8308 O
0.7119 0.6971 0.5074 O
0.7873 0.1753 0.4631 O
0.9837 0.3135 0.1785 O
0.1298 0.1594 0.8135 F
0.2285 0.8317 0.5338 F
0.3955 0.1886 0.1312 F
0.9309 0.8290 0.1901 F
```